No. 1
Theoretical X-ray powder pattern of Te2Mo3WS6 for Cu Kα, 1.54184 Å, from DFT lattice parameters and positions (PBE).
Intensities are scaled so that the largest is 100.

Structural model:
```
data_Te2Mo3WS6
_cell_length_a 3.2776
_cell_length_b 3.2776
_cell_length_c 36.4147
_cell_angle_alpha 90.00
_cell_angle_beta 90.00
_cell_angle_gamma 120.00
_space_group_name_H-M_alt 'P 3 m 1'
_space_group_IT_number 156
loop_
_space_group_symop_operation_xyz
'x,y,z'
'-y,x-y,z'
'-x+y,-x,z'
'-y,-x,z'
'-x+y,y,z'
'x,x-y,z'
loop_
_atom_site_label
_atom_site_fract_x
_atom_site_fract_y
_atom_site_fract_z
Te1 0.0000 0.0000 0.0000
Te2 0.0000 0.0000 0.1064
Mo1 0.0000 0.0000 0.4895
Mo2 0.0000 0.0000 0.8652
Mo3 0.3333 0.6667 0.6774
W1 0.3333 0.6667 0.0532
S1 0.0000 0.0000 0.6352
S2 0.0000 0.0000 0.7196
S3 0.3333 0.6667 0.4473
S4 0.3333 0.6667 0.5317
S5 0.3333 0.6667 0.8230
S6 0.3333 0.6667 0.9073
```

Largest 6 diffraction maxima, low angle first, 10° ≤ 2θ ≤ 90°:
12.15 deg, I = 100.0; 31.54 deg, I = 39.9; 37.34 deg, I = 90.1; 40.29 deg, I = 21.1; 45.49 deg, I = 37.1; 56.13 deg, I = 28.2


No. 2
Theoretical X-ray powder pattern of Sr2GdBiO6 for Cu Kα, 1.54184 Å, from DFT lattice parameters and positions (PBE).
Intensities are scaled so that the largest is 100.

Structural model:
```
data_Sr2GdBiO6
_cell_length_a 5.980
_cell_length_b 6.142
_cell_length_c 10.435
_cell_angle_alpha 90.00
_cell_angle_beta 124.95
_cell_angle_gamma 90.00
_space_group_name_H-M_alt 'P 1 21/c 1'
_space_group_IT_number 14
loop_
_space_group_symop_operation_xyz
'x,y,z'
'-x,-y,-z'
'-x,y+1/2,-z+1/2'
'x,-y+1/2,z+1/2'
loop_
_atom_site_label
_atom_site_fract_x
_atom_site_fract_y
_atom_site_fract_z
Sr1 0.240 0.047 0.252
Gd1 0.500 0.000 0.000
Bi1 0.000 0.000 0.500
O1 0.140 0.214 0.945
O2 0.241 0.697 0.952
O3 0.338 0.039 0.741
```

Largest 6 diffraction maxima, low angle first, 10° ≤ 2θ ≤ 90°:
20.74 deg, I = 31.6; 29.08 deg, I = 24.1; 29.51 deg, I = 100.0; 29.89 deg, I = 23.5; 42.21 deg, I = 37.3; 52.82 deg, I = 23.5


No. 3
Theoretical X-ray powder pattern of Dy2Sn3Pb3S12 for Cu Kα, 1.54184 Å, from DFT lattice parameters and positions (PBE).
Intensities are scaled so that the largest is 100.

Structural model:
```
data_Dy2Sn3Pb3S12
_cell_length_a 3.942
_cell_length_b 20.416
_cell_length_c 11.645
_cell_angle_alpha 90.00
_cell_angle_beta 90.00
_cell_angle_gamma 90.00
_space_group_name_H-M_alt 'P m c 21'
_space_group_IT_number 26
loop_
_space_group_symop_operation_xyz
'x,y,z'
'-x,-y,z+1/2'
'-x,y,z'
'x,-y,z+1/2'
loop_
_atom_site_label
_atom_site_fract_x
_atom_site_fract_y
_atom_site_fract_z
Dy1 0.000 0.087 0.000
Dy2 0.000 0.394 0.679
Sn1 0.500 0.074 0.346
Sn2 0.500 0.250 0.855
Sn3 0.500 0.412 0.373
Pb1 0.000 0.122 0.625
Pb2 0.000 0.242 0.256
Pb3 0.000 0.415 0.052
S1 0.000 0.007 0.289
S2 0.000 0.242 0.000
S3 0.000 0.257 0.704
S4 0.000 0.342 0.455
S5 0.000 0.483 0.290
S6 0.500 0.010 0.535
S7 0.500 0.126 0.838
S8 0.500 0.139 0.157
S9 0.500 0.176 0.455
S10 0.500 0.343 0.191
S11 0.500 0.375 0.844
S12 0.500 0.469 0.567
```

Largest 6 diffraction maxima, low angle first, 10° ≤ 2θ ≤ 90°:
23.14 deg, I = 33.8; 26.19 deg, I = 29.0; 26.43 deg, I = 44.7; 27.27 deg, I = 100.0; 32.53 deg, I = 55.0; 46.08 deg, I = 32.9


No. 4
Theoretical X-ray powder pattern of RbSnBr3 for Cu Kα, 1.54184 Å, from DFT lattice parameters and positions (PBE).
Intensities are scaled so that the largest is 100.

Structural model:
```
data_RbSnBr3
_cell_length_a 9.818
_cell_length_b 4.553
_cell_length_c 16.570
_cell_angle_alpha 90.00
_cell_angle_beta 90.00
_cell_angle_gamma 90.00
_space_group_name_H-M_alt 'P n m a'
_space_group_IT_number 62
loop_
_space_group_symop_operation_xyz
'x,y,z'
'-x,-y,-z'
'-x+1/2,-y,z+1/2'
'x+1/2,y,-z+1/2'
'x+1/2,-y+1/2,-z+1/2'
'-x+1/2,y+1/2,z+1/2'
'-x,y+1/2,-z'
'x,-y+1/2,z'
loop_
_atom_site_label
_atom_site_fract_x
_atom_site_fract_y
_atom_site_fract_z
Rb1 0.081 0.250 0.172
Sn1 0.164 0.750 0.438
Br1 0.023 0.750 0.617
Br2 0.162 0.750 0.002
Br3 0.203 0.250 0.788
```

Largest 6 diffraction maxima, low angle first, 10° ≤ 2θ ≤ 90°:
26.95 deg, I = 37.3; 27.25 deg, I = 69.3; 28.43 deg, I = 41.1; 28.83 deg, I = 100.0; 33.44 deg, I = 39.6; 39.59 deg, I = 39.7


No. 5
Theoretical X-ray powder pattern of Al4Tc for Cu Kα, 1.54184 Å, from DFT lattice parameters and positions (PBE).
Intensities are scaled so that the largest is 100.

Structural model:
```
data_Al4Tc
_cell_length_a 5.201
_cell_length_b 17.603
_cell_length_c 5.170
_cell_angle_alpha 90.00
_cell_angle_beta 101.23
_cell_angle_gamma 90.00
_space_group_name_H-M_alt 'C 1 m 1'
_space_group_IT_number 8
loop_
_space_group_symop_operation_xyz
'x,y,z'
'x,-y,z'
'x+1/2,y+1/2,z'
'x+1/2,-y+1/2,z'
loop_
_atom_site_label
_atom_site_fract_x
_atom_site_fract_y
_atom_site_fract_z
Al1 0.000 0.000 0.000
Al2 0.013 0.423 0.175
Al3 0.035 0.125 0.304
Al4 0.037 0.267 0.086
Al5 0.170 0.380 0.707
Al6 0.346 0.000 0.640
Al7 0.372 0.249 0.565
Tc1 0.183 0.136 0.826
Tc2 0.339 0.500 0.486
```

Largest 6 diffraction maxima, low angle first, 10° ≤ 2θ ≤ 90°:
22.76 deg, I = 55.6; 23.10 deg, I = 53.6; 26.82 deg, I = 47.1; 40.90 deg, I = 44.3; 41.06 deg, I = 100.0; 41.80 deg, I = 66.3


No. 6
Theoretical X-ray powder pattern of TmZrCo2 for Cu Kα, 1.54184 Å, from DFT lattice parameters and positions (PBE).
Intensities are scaled so that the largest is 100.

Structural model:
```
data_TmZrCo2
_cell_length_a 6.466
_cell_length_b 6.466
_cell_length_c 6.466
_cell_angle_alpha 90.00
_cell_angle_beta 90.00
_cell_angle_gamma 90.00
_space_group_name_H-M_alt 'F m -3 m'
_space_group_IT_number 225
_space_group_name_Hall '-F 4 2 3'
loop_
_atom_site_label
_atom_site_fract_x
_atom_site_fract_y
_atom_site_fract_z
Tm1 0.000 0.000 0.000
Zr1 0.000 0.000 0.500
Co1 0.250 0.250 0.250
```

Largest 6 diffraction maxima, low angle first, 10° ≤ 2θ ≤ 90°:
23.83 deg, I = 8.9; 27.59 deg, I = 16.0; 39.41 deg, I = 100.0; 56.96 deg, I = 16.6; 71.47 deg, I = 32.8; 84.82 deg, I = 10.4


Copy entry 3 word for word.
Theoretical X-ray powder pattern of Dy2Sn3Pb3S12 for Cu Kα, 1.54184 Å, from DFT lattice parameters and positions (PBE).
Intensities are scaled so that the largest is 100.

Structural model:
```
data_Dy2Sn3Pb3S12
_cell_length_a 3.942
_cell_length_b 20.416
_cell_length_c 11.645
_cell_angle_alpha 90.00
_cell_angle_beta 90.00
_cell_angle_gamma 90.00
_space_group_name_H-M_alt 'P m c 21'
_space_group_IT_number 26
loop_
_space_group_symop_operation_xyz
'x,y,z'
'-x,-y,z+1/2'
'-x,y,z'
'x,-y,z+1/2'
loop_
_atom_site_label
_atom_site_fract_x
_atom_site_fract_y
_atom_site_fract_z
Dy1 0.000 0.087 0.000
Dy2 0.000 0.394 0.679
Sn1 0.500 0.074 0.346
Sn2 0.500 0.250 0.855
Sn3 0.500 0.412 0.373
Pb1 0.000 0.122 0.625
Pb2 0.000 0.242 0.256
Pb3 0.000 0.415 0.052
S1 0.000 0.007 0.289
S2 0.000 0.242 0.000
S3 0.000 0.257 0.704
S4 0.000 0.342 0.455
S5 0.000 0.483 0.290
S6 0.500 0.010 0.535
S7 0.500 0.126 0.838
S8 0.500 0.139 0.157
S9 0.500 0.176 0.455
S10 0.500 0.343 0.191
S11 0.500 0.375 0.844
S12 0.500 0.469 0.567
```

Largest 6 diffraction maxima, low angle first, 10° ≤ 2θ ≤ 90°:
23.14 deg, I = 33.8; 26.19 deg, I = 29.0; 26.43 deg, I = 44.7; 27.27 deg, I = 100.0; 32.53 deg, I = 55.0; 46.08 deg, I = 32.9